Theoretical powder X-ray diffraction pattern
Compound: LaCd5Pd2
Radiation: λ = 1.5418 Å (Cu Kα)
Structure: a cell relaxed with GGA-PBE

Crystal structure
Unit cell a=4.1443 b=8.6036 c=10.1213 alpha=90.00 beta=90.00 gamma=90.00
Space group Immm (No. 71)
Asymmetric unit:
La: 0.0000 0.0000 0.0000 (multiplicity 2)
Cd: 0.0000 0.1869 0.3466 (multiplicity 8)
Cd: 0.0000 0.5000 0.0000 (multiplicity 2)
Pd: 0.0000 0.5000 0.2796 (multiplicity 4)

Most intense lines, 2θ from 10° to 80°, by angle:
Position (°2θ)	intensity
31.24	609
32.45	164
34.27	1000
38.16	434
41.37	611
42.28	234
43.68	328
61.73	358
72.66	181
75.62	136


Theoretical powder X-ray diffraction pattern
Compound: Dy5Tl2Zn2
Radiation: λ = 1.5418 Å (Cu Kα)
Structure: a cell relaxed with GGA-PBE

Crystal structure
Unit cell a=16.8799 b=7.5643 c=7.5417 alpha=90.00 beta=90.00 gamma=90.00
Space group Cmce (No. 64)
Asymmetric unit:
Dy: 0.0000 0.0000 0.0000 (multiplicity 4)
Dy: 0.1294 0.1871 0.3215 (multiplicity 16)
Tl: 0.2258 0.0000 0.0000 (multiplicity 8)
Zn: 0.0000 0.1175 0.6192 (multiplicity 8)

Most intense lines, 2θ from 10° to 80°, by angle:
Position (°2θ)	intensity
30.90	255
31.35	214
31.80	1000
33.56	357
33.98	250
37.69	104
38.05	300
42.86	147
58.62	111
63.05	104


Theoretical powder X-ray diffraction pattern
Compound: Y8Er4Tm3
Radiation: λ = 1.5418 Å (Cu Kα)
Structure: a cell relaxed with GGA-PBE

Crystal structure
Unit cell a=6.9082 b=6.9082 c=35.0546 alpha=90.00 beta=90.00 gamma=120.00
Space group R-3m (No. 166, hexagonal axes)
Asymmetric unit:
Y: 0.0000 0.0000 0.2447 (multiplicity 6)
Y: 0.0014 0.5007 0.7502 (multiplicity 18)
Er: 0.0000 0.0000 0.0000 (multiplicity 3)
Er: 0.0000 0.0000 0.3359 (multiplicity 6)
Er: 0.0000 0.0000 0.5000 (multiplicity 3)
Tm: 0.0000 0.5000 0.5000 (multiplicity 9)

Most intense lines, 2θ from 10° to 80°, by angle:
Position (°2θ)	intensity
26.92	366
30.02	562
30.60	670
31.60	1000
34.71	246
34.94	224
36.36	734
51.72	221
53.02	435
62.47	517


Theoretical powder X-ray diffraction pattern
Compound: Rb6NaO
Radiation: λ = 1.5418 Å (Cu Kα)
Structure: a cell relaxed with GGA-PBE

Crystal structure
Unit cell a=4.7228 b=13.5555 c=17.0166 alpha=90.00 beta=90.00 gamma=90.00
Space group Amm2 (No. 38)
Asymmetric unit:
Rb: 0.0000 0.0000 0.0000 (multiplicity 2)
Rb: 0.0000 0.1692 0.2374 (multiplicity 4)
Rb: 0.5000 0.0000 0.7461 (multiplicity 2)
Rb: 0.5000 0.1742 0.4939 (multiplicity 4)
Na: 0.5000 0.0000 0.1564 (multiplicity 2)
O: 0.0000 0.0000 0.1570 (multiplicity 2)

Most intense lines, 2θ from 10° to 80°, by angle:
Position (°2θ)	intensity
20.34	526
20.59	459
20.88	486
25.24	1000
25.41	264
32.95	171
33.11	165
34.23	218
38.13	164
39.37	187


Theoretical powder X-ray diffraction pattern
Compound: NaTaBe
Radiation: λ = 1.5418 Å (Cu Kα)
Structure: a cell relaxed with GGA-PBE

Crystal structure
Unit cell a=2.9650 b=3.5642 c=11.2649 alpha=90.00 beta=90.82 gamma=90.00
Space group P2_1/m (No. 11)
Asymmetric unit:
Na: 0.2333 0.2500 0.1415 (multiplicity 2)
Ta: 0.2435 0.2500 0.4236 (multiplicity 2)
Be: 0.2617 0.2500 0.6704 (multiplicity 2)

Most intense lines, 2θ from 10° to 80°, by angle:
Position (°2θ)	intensity
15.74	824
26.23	530
29.66	573
34.70	1000
38.42	364
38.98	378
39.54	857
40.28	430
40.46	363
40.84	603


Theoretical powder X-ray diffraction pattern
Compound: Ir7Rh5
Radiation: λ = 1.5418 Å (Cu Kα)
Structure: a cell relaxed with GGA-PBE

Crystal structure
Unit cell a=14.1933 b=2.7351 c=10.0721 alpha=90.00 beta=117.91 gamma=90.00
Space group C2/m (No. 12)
Asymmetric unit:
Ir: 0.0000 0.0000 0.0000 (multiplicity 2)
Ir: 0.0267 0.5000 0.2497 (multiplicity 4)
Ir: 0.1376 0.0000 0.7490 (multiplicity 4)
Ir: 0.1677 0.0000 0.5000 (multiplicity 4)
Rh: 0.0000 0.5000 0.5000 (multiplicity 2)
Rh: 0.1657 0.5000 0.9976 (multiplicity 4)
Rh: 0.1954 0.0000 0.2502 (multiplicity 4)

Most intense lines, 2θ from 10° to 80°, by angle:
Position (°2θ)	intensity
20.80	56
38.01	73
39.39	589
40.54	438
43.28	1000
43.35	197
49.24	271
65.60	106
68.68	278
75.64	192


Theoretical powder X-ray diffraction pattern
Compound: TaMoW14
Radiation: λ = 1.5418 Å (Cu Kα)
Structure: a cell relaxed with GGA-PBE

Crystal structure
Unit cell a=6.3969 b=8.9956 c=9.0395 alpha=90.00 beta=90.00 gamma=90.00
Space group Cmmm (No. 65)
Asymmetric unit:
Ta: 0.0000 0.0000 0.0000 (multiplicity 2)
Mo: 0.0000 0.5000 0.0000 (multiplicity 2)
W: 0.0000 0.0000 0.5000 (multiplicity 2)
W: 0.0000 0.2495 0.2504 (multiplicity 8)
W: 0.0000 0.5000 0.5000 (multiplicity 2)
W: 0.2488 0.5000 0.2518 (multiplicity 8)
W: 0.2500 0.2500 0.0000 (multiplicity 4)
W: 0.2500 0.2500 0.5000 (multiplicity 4)

Most intense lines, 2θ from 10° to 80°, by angle:
Position (°2θ)	intensity
19.67	6
39.92	1000
40.09	198
57.64	69
57.84	137
72.44	211
72.53	70
72.73	139


Theoretical powder X-ray diffraction pattern
Compound: Ac2TbMnSe6
Radiation: λ = 1.5418 Å (Cu Kα)
Structure: a cell relaxed with GGA-PBE

Crystal structure
Unit cell a=6.9839 b=7.8307 c=12.2095 alpha=90.00 beta=123.92 gamma=90.00
Space group P2_1/c (No. 14)
Asymmetric unit:
Ac: 0.2078 0.1030 0.2465 (multiplicity 4)
Tb: 0.5000 0.0000 0.0000 (multiplicity 2)
Mn: 0.0000 0.0000 0.5000 (multiplicity 2)
Se: 0.1151 0.1902 0.9437 (multiplicity 4)
Se: 0.2580 0.6746 0.9495 (multiplicity 4)
Se: 0.3456 0.0216 0.7330 (multiplicity 4)

Most intense lines, 2θ from 10° to 80°, by angle:
Position (°2θ)	intensity
19.25	420
24.36	1000
24.66	718
29.23	642
31.37	499
31.74	488
35.09	583
35.45	932
36.76	553
44.62	549


Theoretical powder X-ray diffraction pattern
Compound: CaCd
Radiation: λ = 1.5418 Å (Cu Kα)
Structure: a cell relaxed with GGA-PBE

Crystal structure
Unit cell a=3.8337 b=3.8337 c=3.8337 alpha=90.00 beta=90.00 gamma=90.00
Space group Pm-3m (No. 221)
Asymmetric unit:
Ca: 0.0000 0.0000 0.0000 (multiplicity 1)
Cd: 0.5000 0.5000 0.5000 (multiplicity 1)

Most intense lines, 2θ from 10° to 80°, by angle:
Position (°2θ)	intensity
23.20	254
33.04	1000
40.77	80
47.43	173
53.44	108
59.02	346
69.33	104
74.21	51
78.97	143


Theoretical powder X-ray diffraction pattern
Compound: CsPb2Br
Radiation: λ = 1.5418 Å (Cu Kα)
Structure: a cell relaxed with GGA-PBE

Crystal structure
Unit cell a=4.7102 b=4.7102 c=32.9273 alpha=90.00 beta=90.00 gamma=90.00
Space group I-42d (No. 122)
Asymmetric unit:
Cs: 0.0000 0.0000 0.0000 (multiplicity 4)
Pb: 0.2471 0.2500 0.6250 (multiplicity 8)
Br: 0.0000 0.0000 0.5000 (multiplicity 4)

Most intense lines, 2θ from 10° to 80°, by angle:
Position (°2θ)	intensity
10.75	335
21.59	807
27.32	1000
31.42	702
38.44	411
39.81	676
47.31	232
51.11	330
59.92	206
62.62	201


Theoretical powder X-ray diffraction pattern
Compound: BaU2PdS7
Radiation: λ = 1.5418 Å (Cu Kα)
Structure: a cell relaxed with GGA-PBE

Crystal structure
Unit cell a=5.2094 b=5.2094 c=19.7636 alpha=90.00 beta=90.00 gamma=90.00
Space group I-4m2 (No. 119)
Asymmetric unit:
Ba: 0.0000 0.0000 0.0000 (multiplicity 2)
U: 0.0000 0.0000 0.3679 (multiplicity 4)
Pd: 0.0000 0.5000 0.2500 (multiplicity 2)
S: 0.0000 0.0000 0.2438 (multiplicity 4)
S: 0.0000 0.0000 0.5000 (multiplicity 2)
S: 0.0000 0.5000 0.1248 (multiplicity 4)
S: 0.0000 0.5000 0.6111 (multiplicity 4)

Most intense lines, 2θ from 10° to 80°, by angle:
Position (°2θ)	intensity
17.61	419
21.75	1000
24.16	348
28.34	322
34.43	634
36.37	245
41.10	401
49.49	222
50.95	367
62.94	195


Theoretical powder X-ray diffraction pattern
Compound: Tb3Pr4Sm
Radiation: λ = 1.5418 Å (Cu Kα)
Structure: a cell relaxed with GGA-PBE

Crystal structure
Unit cell a=10.3410 b=7.2811 c=7.2803 alpha=90.00 beta=90.00 gamma=90.00
Space group Pmna (No. 53)
Asymmetric unit:
Tb: 0.0000 0.0000 0.0000 (multiplicity 2)
Tb: 0.2500 0.2488 0.2500 (multiplicity 4)
Pr: 0.0000 0.0000 0.5000 (multiplicity 2)
Pr: 0.0000 0.5000 0.0000 (multiplicity 2)
Pr: 0.2500 0.2494 0.7500 (multiplicity 4)
Sm: 0.0000 0.5000 0.5000 (multiplicity 2)

Most intense lines, 2θ from 10° to 80°, by angle:
Position (°2θ)	intensity
30.02	1000
34.70	170
34.85	337
50.00	243
50.12	121
59.33	145
59.53	287
62.39	125
73.23	19
73.59	38